# 1
Structure and theoretical PXRD pattern of PrDy3Ho7 (DFT lattice parameters and positions (PBE); Cu Kα (λ = 1.5418 Å)).

Most intense lines, 10° ≤ 2θ ≤ 80°, low angle first:
two_theta, I/Imax
31.54, 20.9
31.87, 100.0
32.13, 47.1
32.44, 70.1
33.12, 54.7
35.94, 11.6
46.13, 11.6
46.59, 16.6
52.85, 12.0
57.48, 16.1
58.28, 21.4
63.39, 13.9

Crystal structure
a = 6.9300 Å, b = 5.5230 Å, c = 9.8704 Å
α = 90.00°, β = 109.46°, γ = 90.00°
Atoms (fractional coordinates):
Pr 0.0000 0.0000 0.0000
Dy 0.2773 0.5000 0.4955
Dy 0.5000 0.0000 0.0000
Dy 0.7227 0.5000 0.5045
Ho 0.0000 0.0000 0.5000
Ho 0.1490 0.5000 0.7895
Ho 0.3242 0.5000 0.1427
Ho 0.4265 0.0000 0.3317
Ho 0.5735 0.0000 0.6683
Ho 0.6758 0.5000 0.8573
Ho 0.8510 0.5000 0.2105

=====

# 2
Structure and theoretical PXRD pattern of CsThI6 (DFT lattice parameters and positions (PBE); Cu Kα (λ = 1.5418 Å)).

Most intense lines, 10° ≤ 2θ ≤ 80°, low angle first:
two_theta, I/Imax
12.79, 80.8
14.45, 32.5
19.79, 100.0
24.82, 64.0
25.74, 91.3
31.48, 71.6
31.76, 79.9
36.31, 32.5
37.06, 32.1
43.13, 59.3
44.34, 32.2
47.86, 32.6

Crystal structure
a = 9.0163 Å, b = 9.0163 Å, c = 9.0163 Å
α = 55.45°, β = 55.45°, γ = 55.45°
Atoms (fractional coordinates):
Cs 0.0000 0.0000 0.0000
Th 0.5000 0.5000 0.5000
I 0.0789 0.5926 0.5926
I 0.4074 0.4074 0.9211
I 0.4074 0.9211 0.4074
I 0.5926 0.0789 0.5926
I 0.5926 0.5926 0.0789
I 0.9211 0.4074 0.4074

=====

# 3
Structure and theoretical PXRD pattern of ZnNi4 (DFT lattice parameters and positions (PBE); Cu Kα (λ = 1.5418 Å)).

Most intense lines, 10° ≤ 2θ ≤ 80°, low angle first:
two_theta, I/Imax
43.83, 100.0
44.47, 31.7
51.25, 61.3
74.95, 18.1
75.87, 17.2

Crystal structure
a = 2.5343 Å, b = 2.5343 Å, c = 30.5605 Å
α = 90.00°, β = 90.00°, γ = 120.00°
Atoms (fractional coordinates):
Zn 0.0000 0.0000 0.0000
Zn 0.3333 0.6667 0.6667
Zn 0.6667 0.3333 0.3333
Ni 0.0000 0.0000 0.1995
Ni 0.0000 0.0000 0.4014
Ni 0.0000 0.0000 0.5986
Ni 0.0000 0.0000 0.8005
Ni 0.3333 0.6667 0.0681
Ni 0.3333 0.6667 0.2653
Ni 0.3333 0.6667 0.4672
Ni 0.3333 0.6667 0.8661
Ni 0.6667 0.3333 0.1339
Ni 0.6667 0.3333 0.5328
Ni 0.6667 0.3333 0.7347
Ni 0.6667 0.3333 0.9319

=====

# 4
Structure and theoretical PXRD pattern of Pr7Er12Cd (DFT lattice parameters and positions (PBE); Cu Kα (λ = 1.5418 Å)).

Most intense lines, 10° ≤ 2θ ≤ 80°, low angle first:
two_theta, I/Imax
30.29, 30.9
30.72, 30.5
30.93, 100.0
32.27, 70.0
32.58, 47.5
33.71, 23.8
38.85, 12.0
46.82, 11.6
52.86, 13.4
53.35, 16.5
53.92, 18.7
56.45, 10.3

Crystal structure
a = 8.7332 Å, b = 8.7332 Å, c = 8.7332 Å
α = 89.11°, β = 89.11°, γ = 89.11°
Atoms (fractional coordinates):
Pr 0.0000 0.0000 0.0000
Pr 0.1248 0.2729 0.7142
Pr 0.2729 0.7142 0.1248
Pr 0.2858 0.8752 0.7271
Pr 0.7142 0.1248 0.2729
Pr 0.7271 0.2858 0.8752
Pr 0.8752 0.7271 0.2858
Er 0.0381 0.3777 0.1595
Er 0.1595 0.0381 0.3777
Er 0.1681 0.6082 0.4925
Er 0.3777 0.1595 0.0381
Er 0.3918 0.5075 0.8319
Er 0.4925 0.1681 0.6082
Er 0.5075 0.8319 0.3918
Er 0.6082 0.4925 0.1681
Er 0.6223 0.8405 0.9619
Er 0.8319 0.3918 0.5075
Er 0.8405 0.9619 0.6223
Er 0.9619 0.6223 0.8405
Cd 0.5000 0.5000 0.5000